Record 1
The following is a calculated powder diffraction line list of Re2Ir5Os. It was derived from a structure optimized by DFT (PBE), using a wavelength of 1.5418 Å.

Structure:
```
Re2Ir5Os
1.0
4.3894 0.0000 0.0000
0.0000 2.7548 4.7947
0.0000 -2.7548 4.7947
Re Ir Os
2 5 1
Direct
0.0000 0.0000 0.0000
0.5000 0.3353 0.3353
0.0000 0.0031 0.4986
0.0000 0.4986 0.0031
0.5000 0.3338 0.8345
0.5000 0.8345 0.3338
0.5000 0.8365 0.8365
0.0000 0.5005 0.5005
```

Main lines, low angle first (10° ≤ 2θ ≤ 90°):
2θ = 37.5°, I = 12; 2θ = 37.7°, I = 25; 2θ = 41.1°, I = 38; 2θ = 43.0°, I = 52; 2θ = 43.1°, I = 100; 2θ = 57.0°, I = 15; 2θ = 67.8°, I = 18; 2θ = 68.1°, I = 9; 2θ = 76.3°, I = 29; 2θ = 82.5°, I = 21; 2θ = 82.7°, I = 10; 2θ = 84.0°, I = 15


Record 2
The following is a calculated powder diffraction line list of Sr2Si2IrOs. It was derived from a structure optimized by DFT (PBE), using a wavelength of 1.5418 Å.

Structure:
```
Sr2Si2IrOs
1.0
4.2292 0.0000 0.0000
0.0000 4.2292 0.0000
0.0000 0.0000 7.7504
Sr Si Ir Os
2 2 1 1
Direct
0.0000 0.5000 0.1818
0.5000 0.0000 0.8182
0.0000 0.5000 0.6531
0.5000 0.0000 0.3469
0.5000 0.5000 0.5000
0.0000 0.0000 0.5000
```

Main lines, low angle first (10° ≤ 2θ ≤ 90°):
2θ = 11.4°, I = 100; 2θ = 22.9°, I = 10; 2θ = 31.3°, I = 12; 2θ = 32.1°, I = 55; 2θ = 34.7°, I = 15; 2θ = 38.0°, I = 53; 2θ = 42.8°, I = 27; 2θ = 44.4°, I = 15; 2θ = 56.2°, I = 16; 2θ = 56.6°, I = 13; 2θ = 71.6°, I = 11; 2θ = 75.1°, I = 15


Record 3
The following is a calculated powder diffraction line list of Ta3IrOs2. It was derived from a structure optimized by DFT (PBE), using a wavelength of 1.5418 Å.

Structure:
```
Ta3IrOs2
1.0
13.8590 0.0000 0.0000
0.0000 3.0330 0.0000
0.0000 0.0000 4.6485
Ta Ir Os
6 2 4
Direct
0.0739 0.0000 0.1960
0.2500 0.0000 0.6749
0.4261 0.0000 0.1960
0.5739 0.0000 0.8040
0.7500 0.0000 0.3251
0.9261 0.0000 0.8040
0.2500 0.5000 0.1776
0.7500 0.5000 0.8224
0.0928 0.5000 0.6868
0.4072 0.5000 0.6868
0.5928 0.5000 0.3132
0.9072 0.5000 0.3132
```

Main lines, low angle first (10° ≤ 2θ ≤ 90°):
2θ = 37.7°, I = 12; 2θ = 38.7°, I = 16; 2θ = 39.0°, I = 31; 2θ = 39.3°, I = 16; 2θ = 40.5°, I = 100; 2θ = 51.3°, I = 7; 2θ = 56.1°, I = 10; 2θ = 61.1°, I = 9; 2θ = 69.5°, I = 10; 2θ = 71.7°, I = 16; 2θ = 73.9°, I = 8; 2θ = 74.9°, I = 9


Record 4
The following is a calculated powder diffraction line list of IrOsW2. It was derived from a structure optimized by DFT (PBE), using a wavelength of 1.5418 Å.

Structure:
```
IrOsW2
1.0
0.0000 3.1400 3.1400
3.1400 0.0000 3.1400
3.1400 3.1400 0.0000
Ir Os W
1 1 2
Direct
0.0000 0.0000 0.0000
0.7500 0.7500 0.7500
0.2500 0.2500 0.2500
0.5000 0.5000 0.5000
```

Main lines, low angle first (10° ≤ 2θ ≤ 90°):
2θ = 40.6°, I = 100; 2θ = 58.8°, I = 17; 2θ = 73.9°, I = 35; 2θ = 88.0°, I = 12